Entry 1:
Simulated X-ray powder pattern
Compound: TlSbSe2
Radiation: Cu Kα
Structure: a DFT-relaxed cell (PBE, the Materials Project)

Structure:
Cell: 9.254 4.152 13.025 Å, 90.00 109.07 90.00°
Space group P2_1/m (No. 11)
Inequivalent atoms, fractional coordinates:
1 Tl 0.057 0.250 0.359 x2
2 Tl 0.316 0.750 0.862 x2
3 Sb 0.184 0.250 0.108 x2
4 Sb 0.419 0.750 0.608 x2
5 Se 0.060 0.250 0.896 x2
6 Se 0.211 0.250 0.608 x2
7 Se 0.348 0.750 0.396 x2
8 Se 0.390 0.750 0.117 x2

Peak list (12 most intense, 10° ≤ 2θ ≤ 90°, by angle)
22.6°, I = 25, (0 1 1); 23.7°, I = 25, (2 0 1); 29.0°, I = 83, (0 0 4); 29.7°, I = 100, (2 1 0); 30.0°, I = 80, (2 1 -2); 36.0°, I = 35, (2 1 2); 36.8°, I = 43, (2 1 -4); 38.9°, I = 35, (4 0 -2); 43.6°, I = 32, (0 2 0); 46.7°, I = 26, (2 1 4); 53.2°, I = 30, (0 2 4); 59.9°, I = 20, (4 2 -2)

***

Entry 2:
Simulated X-ray powder pattern
Compound: TlSbSe2
Radiation: Cu Kα
Structure: a DFT-relaxed cell (PBE, the Materials Project)

Structure:
Cell: 4.354 6.005 4.361 Å, 90.00 91.94 90.00°
Space group Pm (No. 6)
Inequivalent atoms, fractional coordinates:
1 Tl 0.000 0.000 0.000 x1
2 Sb 0.970 0.500 0.072 x1
3 Se 0.478 0.000 0.537 x1
4 Se 0.511 0.500 0.482 x1

Peak list (12 most intense, 10° ≤ 2θ ≤ 90°, by angle)
20.4°, I = 52, (1 0 0); 25.3°, I = 29, (0 1 1); 28.5°, I = 100, (1 0 -1); 29.5°, I = 99, (1 0 1); 29.8°, I = 98, (0 2 0); 36.3°, I = 25, (1 2 0); 41.5°, I = 72, (2 0 0); 41.7°, I = 72, (1 2 -1); 42.4°, I = 74, (1 2 1); 51.9°, I = 75, (2 2 0); 76.8°, I = 23, (3 2 1); 77.2°, I = 23, (2 4 0)